Diffraction record for LiNiBO3. The X-ray powder pattern is computed, not measured: it uses DFT lattice parameters and positions (GGA+U) and Cu Kα (λ = 1.5418 Å).

Crystal structure
a b c (Å): 8.0745 8.0745 3.0605
angles (deg): 90.00 90.00 120.00
Space group P-6 (No. 174)
Symmetry-distinct sites (fractional):
Li (0.0594, 0.3680, 0.0000) x3
Ni (0.3489, 0.3009, 0.5000) x3
B (0.0000, 0.0000, 0.0000) x1
B (0.3333, 0.6667, 0.5000) x1
B (0.6667, 0.3333, 0.0000) x1
O (0.1971, 0.1151, 0.0000) x3
O (0.2325, 0.4680, 0.5000) x3
O (0.5529, 0.4181, 0.0000) x3

Peak list (6 most intense, 2θ = 5–70°, sorted by position)
| 2θ (°) | I_rel |
| --- | --- |
| 22.02 | 100 |
| 33.92 | 18 |
| 36.85 | 72 |
| 38.63 | 24 |
| 49.13 | 23 |
| 56.15 | 22 |